(1)
Theoretical X-ray powder pattern
Compound: BaLa8CoSi6O26
Radiation: Cu Kα (λ = 1.5418 Å)
Structure: a structure optimized by DFT (PBE+U)

Structure:
a = 9.8130 Å, b = 9.8130 Å, c = 7.2380 Å
α = 90.00°, β = 90.00°, γ = 120.00°
Space group P3 (No. 143)
Symmetry-distinct sites (fractional):
1 Ba 0.0000 0.0000 0.0000 x1
2 La 0.0000 0.0000 0.4988 x1
3 La 0.3333 0.6667 0.9893 x1
4 La 0.4248 0.1003 0.7469 x3
5 La 0.4348 0.3429 0.2511 x3
6 Co 0.3333 0.6667 0.4708 x1
7 Si 0.0447 0.3142 0.2595 x3
8 Si 0.0694 0.7003 0.7376 x3
9 O 0.0209 0.5943 0.9316 x3
10 O 0.0756 0.8553 0.2651 x3
11 O 0.1614 0.5072 0.2657 x3
12 O 0.1848 0.1774 0.7312 x3
13 O 0.2042 0.4673 0.7274 x3
14 O 0.3243 0.0796 0.4348 x3
15 O 0.3333 0.0719 0.0754 x3
16 O 0.4299 0.4176 0.5701 x3
17 O 0.6667 0.3333 0.2545 x1
18 O 0.6667 0.3333 0.7580 x1

Top 10 peaks for 2θ from 10° to 90°, low angle first:
| d (Å) | I_rel |
| --- | --- |
| 4.249 | 27 |
| 4.061 | 24 |
| 3.330 | 38 |
| 3.212 | 37 |
| 2.936 | 100 |
| 2.912 | 51 |
| 2.833 | 30 |
| 2.031 | 28 |
| 1.929 | 34 |
| 1.832 | 28 |

=====

(2)
Theoretical X-ray powder pattern
Compound: Ba2MgCo2CuF14
Radiation: Cu Kα (λ = 1.5418 Å)
Structure: a structure optimized by DFT (PBE+U)

Structure:
a = 13.921 Å, b = 5.331 Å, c = 14.589 Å
α = 90.00°, β = 92.60°, γ = 90.00°
Space group C2/c (No. 15)
Symmetry-distinct sites (fractional):
1 Ba 0.189 0.077 0.125 x8
2 Mg 0.000 0.440 0.750 x4
3 Co 0.118 0.020 0.373 x8
4 Cu 0.000 0.500 0.000 x4
5 F 0.004 0.101 0.661 x8
6 F 0.050 0.450 0.123 x8
7 F 0.081 0.204 0.483 x8
8 F 0.110 0.307 0.289 x8
9 F 0.140 0.268 0.957 x8
10 F 0.161 0.201 0.774 x8
11 F 0.246 0.098 0.402 x8

Top 10 peaks for 2θ from 10° to 90°, low angle first:
| d (Å) | I_rel |
| --- | --- |
| 4.079 | 19 |
| 3.643 | 28 |
| 3.498 | 100 |
| 3.289 | 19 |
| 3.196 | 38 |
| 3.084 | 19 |
| 2.963 | 30 |
| 2.917 | 22 |
| 1.822 | 19 |
| 1.639 | 22 |

=====

(3)
Theoretical X-ray powder pattern
Compound: Ba2Cr3O8
Radiation: Cu Kα (λ = 1.5418 Å)
Structure: a structure optimized by DFT (PBE+U)

Structure:
a = 3.868 Å, b = 3.868 Å, c = 12.147 Å
α = 90.00°, β = 90.00°, γ = 90.00°
Space group P4/mmm (No. 123)
Symmetry-distinct sites (fractional):
1 Ba 0.000 0.000 0.172 x2
2 Cr 0.500 0.500 0.000 x1
3 Cr 0.500 0.500 0.332 x2
4 O 0.000 0.500 0.000 x2
5 O 0.000 0.500 0.348 x4
6 O 0.500 0.500 0.174 x2

Top 10 peaks for 2θ from 10° to 90°, low angle first:
| d (Å) | I_rel |
| --- | --- |
| 6.073 | 27 |
| 3.263 | 15 |
| 2.797 | 100 |
| 2.735 | 39 |
| 2.267 | 19 |
| 2.024 | 18 |
| 1.934 | 32 |
| 1.627 | 17 |
| 1.591 | 35 |
| 1.398 | 19 |

=====

(4)
Theoretical X-ray powder pattern
Compound: MgMn12O17F7
Radiation: Cu Kα (λ = 1.5418 Å)
Structure: a structure optimized by DFT (PBE+U)

Structure:
a = 4.721 Å, b = 5.715 Å, c = 15.222 Å
α = 89.80°, β = 89.97°, γ = 89.08°
Space group P1 (No. 1)
Symmetry-distinct sites (fractional):
1 Mg 0.000 0.000 0.000 x1
2 Mn 0.450 0.260 0.954 x1
3 Mn 0.453 0.022 0.782 x1
4 Mn 0.463 0.296 0.624 x1
5 Mn 0.466 0.010 0.140 x1
6 Mn 0.468 0.025 0.464 x1
7 Mn 0.482 0.738 0.941 x1
8 Mn 0.484 0.324 0.295 x1
9 Mn 0.914 0.489 0.779 x1
10 Mn 0.926 0.490 0.121 x1
11 Mn 0.934 0.822 0.614 x1
12 Mn 0.955 0.490 0.453 x1
13 Mn 0.983 0.816 0.287 x1
14 O 0.193 0.238 0.067 x1
15 O 0.231 0.275 0.729 x1
16 O 0.236 0.046 0.565 x1
17 O 0.246 0.999 0.896 x1
18 O 0.256 0.049 0.244 x1
19 O 0.259 0.279 0.403 x1
20 O 0.615 0.980 0.022 x1
21 O 0.672 0.054 0.680 x1
22 O 0.674 0.750 0.829 x1
23 O 0.676 0.497 0.999 x1
24 O 0.678 0.233 0.847 x1
25 O 0.685 0.255 0.520 x1
26 O 0.693 0.279 0.186 x1
27 O 0.726 0.536 0.668 x1
28 O 0.737 0.771 0.507 x1
29 O 0.763 0.782 0.178 x1
30 O 0.773 0.548 0.342 x1
31 F 0.170 0.507 0.890 x1
32 F 0.172 0.794 0.725 x1
33 F 0.176 0.728 0.054 x1
34 F 0.202 0.529 0.563 x1
35 F 0.228 0.790 0.400 x1
36 F 0.229 0.555 0.225 x1
37 F 0.720 0.045 0.360 x1

Top 10 peaks for 2θ from 10° to 90°, low angle first:
| d (Å) | I_rel |
| --- | --- |
| 3.668 | 40 |
| 3.611 | 52 |
| 2.972 | 100 |
| 2.942 | 94 |
| 2.537 | 24 |
| 2.486 | 26 |
| 1.727 | 76 |
| 1.701 | 46 |
| 1.458 | 33 |
| 1.453 | 24 |

=====

(5)
Theoretical X-ray powder pattern
Compound: CaFeO2
Radiation: Cu Kα (λ = 1.5418 Å)
Structure: a structure optimized by DFT (PBE+U)

Structure:
a = 4.003 Å, b = 4.003 Å, c = 3.231 Å
α = 90.00°, β = 90.00°, γ = 90.00°
Space group P4/mmm (No. 123)
Symmetry-distinct sites (fractional):
1 Ca 0.000 0.000 0.000 x1
2 Fe 0.500 0.500 0.500 x1
3 O 0.000 0.500 0.500 x2

Top 10 peaks for 2θ from 10° to 90°, low angle first:
| d (Å) | I_rel |
| --- | --- |
| 3.231 | 13 |
| 2.831 | 31 |
| 2.514 | 100 |
| 2.002 | 42 |
| 1.616 | 9 |
| 1.566 | 41 |
| 1.415 | 11 |
| 1.403 | 7 |
| 1.257 | 14 |
| 1.233 | 9 |